Starting from DFT lattice parameters and positions (GGA-PBE), the XRD peak list of LiPm2Ge was computed for λ = 1.5418 Å (Cu Kα).
Kinematic intensities with the Lorentz-polarization factor, no thermal factor.

Atomic structure:
```
LiPm2Ge
1.0
0.000 3.648 3.648
3.648 0.000 3.648
3.648 3.648 0.000
Li Pm Ge
1 2 1
direct
0.000 0.000 0.000
0.250 0.250 0.250
0.750 0.750 0.750
0.500 0.500 0.500
```

Peak list (10 most intense, 2θ = 5–70°, in order of rising 2θ)
d [Å], 2θ (°), I_rel
4.212, 21.1, 84
3.648, 24.4, 403
2.579, 34.8, 1000
2.200, 41.0, 45
2.106, 42.9, 121
1.824, 50.0, 178
1.674, 54.9, 19
1.631, 56.4, 164
1.489, 62.4, 366
1.404, 66.6, 14